# Pr3Au
Computed X-ray diffraction stick pattern, Cu Kα (λ = 1.5418 Å). Input: a crystal structure in Alexandria, relaxed with PBE.

Top 6 peaks for 10° ≤ 2θ ≤ 90°, in order of rising 2θ:
Position (°2θ)  I/Imax  index
29.4  95.0  2 3 1
29.5  82.4  1 1 2
30.5  77.3  3 3 0
32.8  100.0  4 1 1
34.5  84.8  2 2 2
41.6  53.9  2 5 1

Atomic structure:
a b c (Å): 12.4230 12.4230 6.4497
angles (deg): 90.00 90.00 90.00
Space group I-4 (No. 82)
Inequivalent atoms, fractional coordinates:
Pr: 0.0045 0.3599 0.4966 [8 per cell]
Pr: 0.0935 0.8994 0.2538 [8 per cell]
Pr: 0.1991 0.7924 0.7534 [8 per cell]
Au: 0.0067 0.2926 0.9963 [8 per cell]

***

# Th4Bi5H2
Computed X-ray diffraction stick pattern, Cu Kα (λ = 1.5418 Å). Input: a crystal structure in Alexandria, relaxed with PBE.

Top 6 peaks for 10° ≤ 2θ ≤ 90°, in order of rising 2θ:
Position (°2θ)  I/Imax  index
30.1  100.0  1 1 2
33.4  59.1  5 1 -1
34.8  18.1  4 0 -3
35.2  29.9  6 0 1
40.4  27.2  0 2 0
54.6  23.3  6 2 1

Atomic structure:
a b c (Å): 17.2185 4.4628 8.6475
angles (deg): 90.00 100.13 90.00
Space group C2/m (No. 12)
Inequivalent atoms, fractional coordinates:
Th: 0.0395 0.0000 0.2479 [4 per cell]
Th: 0.1213 0.5000 0.9480 [4 per cell]
Bi: 0.0000 0.5000 0.5000 [2 per cell]
Bi: 0.1420 0.0000 0.6490 [4 per cell]
Bi: 0.2162 0.0000 0.1995 [4 per cell]
H: 0.0243 0.5000 0.1330 [4 per cell]